(1)
Calculated powder X-ray diffraction pattern of K4Y3SnSe8 for CuKα, from the GGA-PBE geometry in Alexandria.
No peak broadening, texture or thermal motion is included.

Most intense lines, 10 to 90 degrees two-theta, low angle first:
| Position (°2θ) | Rel. int. |
| --- | --- |
| 11.53 | 35 |
| 28.91 | 100 |
| 36.74 | 16 |
| 39.84 | 32 |
| 42.81 | 36 |
| 50.20 | 10 |
| 52.49 | 18 |
| 59.91 | 9 |
| 65.74 | 9 |
| 69.97 | 15 |

Structure:
```
data_K4Y3SnSe8
_chemical_formula_sum 'K4 Y3 Sn1 Se8'
_cell_length_a 9.096
_cell_length_b 9.096
_cell_length_c 9.096
_cell_angle_alpha 55.35
_cell_angle_beta 55.35
_cell_angle_gamma 55.35
_symmetry_space_group_name_H-M 'P 1'
_symmetry_Int_Tables_number 1
loop_
_symmetry_equiv_pos_as_xyz
'x,y,z'
loop_
_atom_site_label
_atom_site_type_symbol
_atom_site_fract_x
_atom_site_fract_y
_atom_site_fract_z
K1 K 0.000 0.000 0.000
K2 K 0.000 0.500 0.500
K3 K 0.500 0.000 0.500
K4 K 0.500 0.500 0.000
Y1 Y 0.000 0.000 0.500
Y2 Y 0.000 0.500 0.000
Y3 Y 0.500 0.000 0.000
Sn1 Sn 0.500 0.500 0.500
Se1 Se 0.234 0.735 0.735
Se2 Se 0.235 0.235 0.235
Se3 Se 0.265 0.265 0.766
Se4 Se 0.265 0.766 0.265
Se5 Se 0.735 0.234 0.735
Se6 Se 0.735 0.735 0.234
Se7 Se 0.765 0.765 0.765
Se8 Se 0.766 0.265 0.265
```

---

(2)
Calculated powder X-ray diffraction pattern of KTa3CuO9 for CuKα, from the GGA-PBE geometry in Alexandria.
No peak broadening, texture or thermal motion is included.

Most intense lines, 10 to 90 degrees two-theta, low angle first:
| Position (°2θ) | Rel. int. |
| --- | --- |
| 21.67 | 33 |
| 23.06 | 74 |
| 26.44 | 38 |
| 27.96 | 76 |
| 29.94 | 30 |
| 30.66 | 100 |
| 31.85 | 39 |
| 35.36 | 52 |
| 36.54 | 48 |
| 54.48 | 39 |

Structure:
```
data_KTa3CuO9
_chemical_formula_sum 'K4 Ta12 Cu4 O36'
_cell_length_a 7.715
_cell_length_b 8.953
_cell_length_c 10.245
_cell_angle_alpha 90.00
_cell_angle_beta 90.00
_cell_angle_gamma 90.00
_symmetry_space_group_name_H-M 'P 1'
_symmetry_Int_Tables_number 1
loop_
_symmetry_equiv_pos_as_xyz
'x,y,z'
loop_
_atom_site_label
_atom_site_type_symbol
_atom_site_fract_x
_atom_site_fract_y
_atom_site_fract_z
K1 K 0.000 0.084 0.241
K2 K 0.000 0.916 0.759
K3 K 0.500 0.084 0.259
K4 K 0.500 0.916 0.741
Ta1 Ta 0.245 0.201 0.562
Ta2 Ta 0.245 0.799 0.438
Ta3 Ta 0.250 0.430 0.250
Ta4 Ta 0.250 0.570 0.750
Ta5 Ta 0.255 0.201 0.938
Ta6 Ta 0.255 0.799 0.062
Ta7 Ta 0.745 0.201 0.938
Ta8 Ta 0.745 0.799 0.062
Ta9 Ta 0.750 0.430 0.250
Ta10 Ta 0.750 0.570 0.750
Ta11 Ta 0.755 0.201 0.562
Ta12 Ta 0.755 0.799 0.438
Cu1 Cu 0.000 0.500 0.000
Cu2 Cu 0.000 0.500 0.500
Cu3 Cu 0.500 0.500 0.000
Cu4 Cu 0.500 0.500 0.500
O1 O 0.000 0.150 0.559
O2 O 0.000 0.273 0.947
O3 O 0.000 0.443 0.187
O4 O 0.000 0.557 0.813
O5 O 0.000 0.727 0.053
O6 O 0.000 0.850 0.441
O7 O 0.183 0.416 0.615
O8 O 0.183 0.584 0.385
O9 O 0.190 0.000 0.000
O10 O 0.214 0.275 0.379
O11 O 0.214 0.725 0.621
O12 O 0.250 0.148 0.750
O13 O 0.250 0.852 0.250
O14 O 0.286 0.275 0.121
O15 O 0.286 0.725 0.879
O16 O 0.310 0.000 0.500
O17 O 0.317 0.416 0.885
O18 O 0.317 0.584 0.115
O19 O 0.500 0.150 0.941
O20 O 0.500 0.273 0.553
O21 O 0.500 0.443 0.313
O22 O 0.500 0.557 0.687
O23 O 0.500 0.727 0.447
O24 O 0.500 0.850 0.059
O25 O 0.683 0.416 0.885
O26 O 0.683 0.584 0.115
O27 O 0.690 0.000 0.500
O28 O 0.714 0.275 0.121
O29 O 0.714 0.725 0.879
O30 O 0.750 0.148 0.750
O31 O 0.750 0.852 0.250
O32 O 0.786 0.275 0.379
O33 O 0.786 0.725 0.621
O34 O 0.810 0.000 0.000
O35 O 0.817 0.416 0.615
O36 O 0.817 0.584 0.385
```

---

(3)
Calculated powder X-ray diffraction pattern of Ba8Pt3Br for CuKα, from the GGA-PBE geometry in Alexandria.
No peak broadening, texture or thermal motion is included.

Most intense lines, 10 to 90 degrees two-theta, low angle first:
| Position (°2θ) | Rel. int. |
| --- | --- |
| 11.78 | 47 |
| 22.15 | 22 |
| 26.99 | 100 |
| 35.52 | 15 |
| 38.23 | 39 |
| 38.84 | 36 |
| 40.13 | 15 |
| 47.42 | 20 |
| 62.47 | 17 |
| 63.33 | 16 |

Structure:
```
data_Ba8Pt3Br
_chemical_formula_sum 'Ba8 Pt3 Br1'
_cell_length_a 9.276
_cell_length_b 9.276
_cell_length_c 9.276
_cell_angle_alpha 61.01
_cell_angle_beta 61.01
_cell_angle_gamma 61.01
_symmetry_space_group_name_H-M 'P 1'
_symmetry_Int_Tables_number 1
loop_
_symmetry_equiv_pos_as_xyz
'x,y,z'
loop_
_atom_site_label
_atom_site_type_symbol
_atom_site_fract_x
_atom_site_fract_y
_atom_site_fract_z
Ba1 Ba 0.222 0.756 0.756
Ba2 Ba 0.242 0.242 0.242
Ba3 Ba 0.244 0.244 0.778
Ba4 Ba 0.244 0.778 0.244
Ba5 Ba 0.756 0.222 0.756
Ba6 Ba 0.756 0.756 0.222
Ba7 Ba 0.758 0.758 0.758
Ba8 Ba 0.778 0.244 0.244
Pt1 Pt 0.000 0.000 0.500
Pt2 Pt 0.000 0.500 0.000
Pt3 Pt 0.500 0.000 0.000
Br1 Br 0.500 0.500 0.500
```

---

(4)
Calculated powder X-ray diffraction pattern of Ta3BP for CuKα, from the GGA-PBE geometry in Alexandria.
No peak broadening, texture or thermal motion is included.

Most intense lines, 10 to 90 degrees two-theta, low angle first:
| Position (°2θ) | Rel. int. |
| --- | --- |
| 29.01 | 25 |
| 30.81 | 37 |
| 32.87 | 50 |
| 35.23 | 46 |
| 37.62 | 26 |
| 38.01 | 100 |
| 38.25 | 52 |
| 38.47 | 52 |
| 42.62 | 25 |
| 46.46 | 25 |

Structure:
```
data_Ta3BP
_chemical_formula_sum 'Ta6 B2 P2'
_cell_length_a 8.957
_cell_length_b 8.957
_cell_length_c 5.131
_cell_angle_alpha 98.67
_cell_angle_beta 98.67
_cell_angle_gamma 20.77
_symmetry_space_group_name_H-M 'P 1'
_symmetry_Int_Tables_number 1
loop_
_symmetry_equiv_pos_as_xyz
'x,y,z'
loop_
_atom_site_label
_atom_site_type_symbol
_atom_site_fract_x
_atom_site_fract_y
_atom_site_fract_z
Ta1 Ta 0.002 0.002 0.246
Ta2 Ta 0.195 0.195 0.604
Ta3 Ta 0.363 0.363 0.930
Ta4 Ta 0.637 0.637 0.070
Ta5 Ta 0.805 0.805 0.396
Ta6 Ta 0.998 0.998 0.754
B1 B 0.238 0.238 0.076
B2 B 0.762 0.762 0.924
P1 P 0.415 0.415 0.452
P2 P 0.585 0.585 0.548
```

---

(5)
Calculated powder X-ray diffraction pattern of CaHgH for CuKα, from the GGA-PBE geometry in Alexandria.
No peak broadening, texture or thermal motion is included.

Most intense lines, 10 to 90 degrees two-theta, low angle first:
| Position (°2θ) | Rel. int. |
| --- | --- |
| 18.65 | 44 |
| 23.79 | 20 |
| 31.51 | 26 |
| 32.43 | 100 |
| 32.72 | 16 |
| 34.24 | 22 |
| 47.21 | 17 |
| 56.68 | 29 |
| 60.16 | 17 |
| 76.25 | 12 |

Structure:
```
data_CaHgH
_chemical_formula_sum 'Ca4 Hg4 H4'
_cell_length_a 3.961
_cell_length_b 11.358
_cell_length_c 5.238
_cell_angle_alpha 90.00
_cell_angle_beta 90.00
_cell_angle_gamma 90.00
_symmetry_space_group_name_H-M 'P 1'
_symmetry_Int_Tables_number 1
loop_
_symmetry_equiv_pos_as_xyz
'x,y,z'
loop_
_atom_site_label
_atom_site_type_symbol
_atom_site_fract_x
_atom_site_fract_y
_atom_site_fract_z
Ca1 Ca 0.250 0.131 0.000
Ca2 Ca 0.250 0.369 0.500
Ca3 Ca 0.750 0.631 0.500
Ca4 Ca 0.750 0.869 0.000
Hg1 Hg 0.250 0.617 0.016
Hg2 Hg 0.250 0.883 0.516
Hg3 Hg 0.750 0.117 0.516
Hg4 Hg 0.750 0.383 0.016
H1 H 0.250 0.562 0.598
H2 H 0.250 0.938 0.098
H3 H 0.750 0.062 0.098
H4 H 0.750 0.438 0.598
```